For TmInHgS4, a PBE-relaxed structure gives the calculated powder X-ray diffraction pattern in this record (Cu Kα (weighted mean of Kα1 and Kα2)).
Lines closer than 0.1° are merged.

Principal peaks in the range 10 to 90 degrees two-theta, most intense first:
2theta, intensity
26.56, 1000
45.99, 530
26.42, 511
22.54, 437
42.22, 361
41.92, 183
39.66, 177
22.64, 147

Structure:
a b c (Å): 7.893 7.893 7.893
angles (deg): 120.33 120.17 89.57
Sites, in units of the cell vectors:
Tm 0.000 0.000 0.000
Tm 0.500 0.000 0.500
In 0.500 0.000 0.000
In 0.500 0.500 0.500
Hg 0.126 0.376 0.750
Hg 0.874 0.624 0.250
S 0.261 0.244 0.483
S 0.261 0.777 0.017
S 0.265 0.243 0.022
S 0.280 0.757 0.522
S 0.720 0.243 0.478
S 0.735 0.757 0.978
S 0.739 0.223 0.983
S 0.739 0.756 0.517